For Pm2Nd3Ho4, a DFT-relaxed cell (GGA-PBE, Alexandria) gives the computed PXRD pattern in this record (Cu Kα).
Kinematic intensities with the Lorentz-polarization factor, no thermal factor.

Most intense lines, 15 to 90 degrees two-theta, most intense first:
| 2θ/deg | intensity |
| --- | --- |
| 30.37 | 100 |
| 50.65 | 36 |
| 35.20 | 34 |
| 60.19 | 25 |
| 60.25 | 18 |
| 35.24 | 17 |
| 85.17 | 10 |
| 63.21 | 9 |
| 82.45 | 9 |
| 82.53 | 9 |

Atomic structure:
```
data_Pm2Nd3Ho4
_chemical_formula_sum 'Pm2 Nd3 Ho4'
_cell_length_a 6.240
_cell_length_b 6.245
_cell_length_c 8.055
_cell_angle_alpha 75.13
_cell_angle_beta 82.60
_cell_angle_gamma 80.47
_space_group_name_H-M_alt 'P 1'
_space_group_IT_number 1
loop_
_space_group_symop_operation_xyz
'x,y,z'
loop_
_atom_site_label
_atom_site_type_symbol
_atom_site_fract_x
_atom_site_fract_y
_atom_site_fract_z
_atom_site_occupancy
Pm1 Pm 0.167 0.332 0.167 1
Pm2 Pm 0.833 0.668 0.833 1
Nd1 Nd 0.390 0.443 0.723 1
Nd2 Nd 0.500 0.000 0.500 1
Nd3 Nd 0.610 0.557 0.277 1
Ho1 Ho 0.053 0.778 0.388 1
Ho2 Ho 0.275 0.890 0.946 1
Ho3 Ho 0.725 0.110 0.054 1
Ho4 Ho 0.947 0.222 0.612 1
```


For Sr3Tl4Rh4, a DFT-relaxed cell (GGA-PBE, Alexandria) gives the computed PXRD pattern in this record (Cu Kα).
Kinematic intensities with the Lorentz-polarization factor, no thermal factor.

Most intense lines, 15 to 90 degrees two-theta, most intense first:
| 2θ/deg | intensity |
| --- | --- |
| 30.45 | 100 |
| 46.40 | 78 |
| 40.66 | 71 |
| 34.15 | 51 |
| 15.09 | 43 |
| 69.83 | 37 |
| 26.29 | 31 |
| 86.05 | 23 |
| 82.08 | 20 |
| 21.40 | 20 |

Atomic structure:
```
data_Sr3Tl4Rh4
_chemical_formula_sum 'Sr3 Tl4 Rh4'
_cell_length_a 7.190
_cell_length_b 7.190
_cell_length_c 7.190
_cell_angle_alpha 109.47
_cell_angle_beta 109.47
_cell_angle_gamma 109.47
_space_group_name_H-M_alt 'P 1'
_space_group_IT_number 1
loop_
_space_group_symop_operation_xyz
'x,y,z'
loop_
_atom_site_label
_atom_site_type_symbol
_atom_site_fract_x
_atom_site_fract_y
_atom_site_fract_z
_atom_site_occupancy
Sr1 Sr 0.000 0.500 0.500 1
Sr2 Sr 0.500 0.000 0.500 1
Sr3 Sr 0.500 0.500 0.000 1
Tl1 Tl 0.000 0.000 0.401 1
Tl2 Tl 0.000 0.401 0.000 1
Tl3 Tl 0.401 0.000 0.000 1
Tl4 Tl 0.599 0.599 0.599 1
Rh1 Rh 0.000 0.000 0.768 1
Rh2 Rh 0.000 0.768 0.000 1
Rh3 Rh 0.232 0.232 0.232 1
Rh4 Rh 0.768 0.000 0.000 1
```